Calculated powder X-ray diffraction pattern
Compound: NaHg2IrO6
Radiation: Cu Kα, 1.54184 Å
Structure: the GGA-PBE geometry in Alexandria

Most intense lines, 10° ≤ 2θ ≤ 80°, sorted by position:
2θ = 18.86°, I 34; 2θ = 21.74°, I 17; 2θ = 30.77°, I 100; 2θ = 31.08°, I 90; 2θ = 44.31°, I 43; 2θ = 54.52°, I 20; 2θ = 55.11°, I 42; 2θ = 55.30°, I 24; 2θ = 72.95°, I 18; 2θ = 73.45°, I 17

Crystal structure
Cell: 5.8116 5.8116 5.8116 Å, 59.35 59.35 59.35°
Sites, in units of the cell vectors:
Na (0.0000, 0.0000, 0.0000)
Hg (0.2536, 0.2536, 0.2536)
Hg (0.7464, 0.7464, 0.7464)
Ir (0.5000, 0.5000, 0.5000)
O (0.1665, 0.7067, 0.3938)
O (0.2933, 0.6062, 0.8335)
O (0.3938, 0.1665, 0.7067)
O (0.6062, 0.8335, 0.2933)
O (0.7067, 0.3938, 0.1665)
O (0.8335, 0.2933, 0.6062)